Starting from a DFT-relaxed cell (GGA-PBE, the Materials Project), the powder X-ray diffraction pattern of Li2TiNb3O8 was calculated for Cu Kα X-rays.
Peak positions follow from Bragg's law for the DFT cell and can differ from measured ones.

Largest 6 diffraction maxima, most intense first, 10 to 90 degrees two-theta:
| index | two_theta | Rel. int. |
| --- | --- | --- |
| 4 0 0 | 41.72 | 100 |
| 1 -1 1 | 17.65 | 98 |
| -1 1 1 | 17.83 | 98 |
| 3 1 1 | 34.17 | 27 |
| 1 -1 3 | 34.28 | 25 |
| 3 1 -1 | 34.51 | 24 |

Structure:
Unit cell a=8.6562 b=8.6626 c=8.6658 alpha=89.62 beta=89.15 gamma=89.90
Space group P1 (No. 1)
Inequivalent atoms, fractional coordinates:
Li1 0.0000 0.0000 0.0000 [1 per cell]
Li2 0.0056 0.5011 0.4906 [1 per cell]
Li3 0.2386 0.2561 0.7181 [1 per cell]
Li4 0.2532 0.7591 0.2537 [1 per cell]
Li5 0.4828 0.9872 0.4750 [1 per cell]
Li6 0.4991 0.5100 0.9882 [1 per cell]
Li7 0.7353 0.7358 0.7375 [1 per cell]
Li8 0.7544 0.2369 0.2390 [1 per cell]
Ti1 0.1306 0.1325 0.3524 [1 per cell]
Ti2 0.3714 0.6285 0.6280 [1 per cell]
Ti3 0.6220 0.8843 0.1073 [1 per cell]
Ti4 0.8704 0.3675 0.8628 [1 per cell]
Nb1 0.1117 0.3947 0.1024 [1 per cell]
Nb2 0.1122 0.6171 0.8825 [1 per cell]
Nb3 0.1135 0.8785 0.6140 [1 per cell]
Nb4 0.3767 0.8938 0.8749 [1 per cell]
Nb5 0.3810 0.3840 0.3531 [1 per cell]
Nb6 0.3852 0.1138 0.0888 [1 per cell]
Nb7 0.6133 0.6143 0.3554 [1 per cell]
Nb8 0.6210 0.1222 0.8587 [1 per cell]
Nb9 0.6316 0.3489 0.6252 [1 per cell]
Nb10 0.8480 0.1291 0.6280 [1 per cell]
Nb11 0.8753 0.8706 0.3694 [1 per cell]
Nb12 0.8924 0.6117 0.1058 [1 per cell]
O1 0.1054 0.3771 0.8602 [1 per cell]
O2 0.1085 0.1117 0.5927 [1 per cell]
O3 0.1163 0.8977 0.3700 [1 per cell]
O4 0.1310 0.8671 0.8573 [1 per cell]
O5 0.1338 0.3624 0.3524 [1 per cell]
O6 0.1352 0.6383 0.1224 [1 per cell]
O7 0.1382 0.1355 0.1302 [1 per cell]
O8 0.1390 0.6408 0.6220 [1 per cell]
O9 0.3559 0.1362 0.3472 [1 per cell]
O10 0.3587 0.8568 0.6254 [1 per cell]
O11 0.3617 0.6354 0.8484 [1 per cell]
O12 0.3661 0.3703 0.1236 [1 per cell]
O13 0.3689 0.1395 0.8507 [1 per cell]
O14 0.3741 0.6239 0.3861 [1 per cell]
O15 0.3821 0.3907 0.5917 [1 per cell]
O16 0.3890 0.8688 0.1149 [1 per cell]
O17 0.6003 0.6103 0.5969 [1 per cell]
O18 0.6082 0.1086 0.6070 [1 per cell]
O19 0.6185 0.8694 0.8773 [1 per cell]
O20 0.6243 0.3740 0.3775 [1 per cell]
O21 0.6257 0.1105 0.1124 [1 per cell]
O22 0.6331 0.3717 0.8623 [1 per cell]
O23 0.6328 0.6372 0.1296 [1 per cell]
O24 0.6328 0.8609 0.3462 [1 per cell]
O25 0.8575 0.8607 0.1290 [1 per cell]
O26 0.8665 0.6333 0.3572 [1 per cell]
O27 0.8690 0.3750 0.6260 [1 per cell]
O28 0.8696 0.8792 0.6128 [1 per cell]
O29 0.8718 0.1348 0.8651 [1 per cell]
O30 0.8725 0.3714 0.1013 [1 per cell]
O31 0.8720 0.6088 0.8663 [1 per cell]
O32 0.8886 0.1072 0.3774 [1 per cell]

---

Starting from a DFT-relaxed cell (GGA-PBE, the Materials Project), the powder X-ray diffraction pattern of Na2TaTiSi2PO12 was calculated for Cu Kα X-rays.
Peak positions follow from Bragg's law for the DFT cell and can differ from measured ones.

Largest 6 diffraction maxima, most intense first, 10 to 90 degrees two-theta:
| index | two_theta | Rel. int. |
| --- | --- | --- |
| 3 1 -1 | 19.98 | 100 |
| 1 1 -1 | 13.95 | 96 |
| 2 0 -2 | 19.61 | 94 |
| 0 2 2 | 31.26 | 60 |
| 3 3 -1 | 34.97 | 41 |
| 2 2 -2 | 28.09 | 32 |

Structure:
Unit cell a=15.3842 b=8.8963 c=9.0798 alpha=90.00 beta=124.78 gamma=90.00
Space group Cc (No. 9)
Inequivalent atoms, fractional coordinates:
Na1 0.0000 0.0610 0.0000 [4 per cell]
Na2 0.0697 0.2652 0.7366 [4 per cell]
Ta1 0.2128 0.2501 0.1844 [4 per cell]
Ti1 0.4185 0.2537 0.8118 [4 per cell]
Si1 0.1727 0.1109 0.5000 [4 per cell]
Si2 0.3181 0.4598 0.0030 [4 per cell]
P1 0.4613 0.1018 0.5062 [4 per cell]
O1 0.0559 0.3156 0.0177 [4 per cell]
O2 0.0708 0.1828 0.4843 [4 per cell]
O3 0.1661 0.0735 0.0192 [4 per cell]
O4 0.1707 0.1350 0.3188 [4 per cell]
O5 0.2361 0.3550 0.0176 [4 per cell]
O6 0.2475 0.4285 0.3292 [4 per cell]
O7 0.2822 0.1817 0.6708 [4 per cell]
O8 0.3629 0.1788 0.3362 [4 per cell]
O9 0.3952 0.4364 0.6808 [4 per cell]
O10 0.3980 0.3577 0.9796 [4 per cell]
O11 0.4621 0.1378 0.6707 [4 per cell]
O12 0.4662 0.0666 0.9812 [4 per cell]

---

Starting from a DFT-relaxed cell (GGA-PBE, the Materials Project), the powder X-ray diffraction pattern of Si2AgN3 was calculated for Cu Kα X-rays.
Peak positions follow from Bragg's law for the DFT cell and can differ from measured ones.

Largest 6 diffraction maxima, most intense first, 10 to 90 degrees two-theta:
| index | two_theta | Rel. int. |
| --- | --- | --- |
| 0 0 3 | 10.31 | 100 |
| 1 0 1 | 36.48 | 81 |
| 1 0 4 | 39.00 | 79 |
| 0 0 9 | 31.27 | 55 |
| 0 1 5 | 40.45 | 52 |
| 1 0 10 | 51.21 | 40 |

Structure:
Unit cell a=2.8568 b=2.8568 c=25.7447 alpha=90.00 beta=90.00 gamma=120.00
Space group P3_121 (No. 152)
Inequivalent atoms, fractional coordinates:
Si1 0.0225 0.3314 0.3849 [6 per cell]
Ag1 0.0000 0.3509 0.1667 [3 per cell]
N1 0.0000 0.2062 0.6667 [3 per cell]
N2 0.0157 0.3436 0.2517 [6 per cell]

---

Starting from a DFT-relaxed cell (GGA-PBE, the Materials Project), the powder X-ray diffraction pattern of NdLuMg2 was calculated for Cu Kα X-rays.
Peak positions follow from Bragg's law for the DFT cell and can differ from measured ones.

Largest 6 diffraction maxima, most intense first, 10 to 90 degrees two-theta:
| index | two_theta | Rel. int. |
| --- | --- | --- |
| 2 2 0 | 33.29 | 100 |
| 2 0 0 | 23.37 | 63 |
| 4 2 2 | 59.49 | 38 |
| 4 2 0 | 53.86 | 27 |
| 2 2 2 | 41.08 | 20 |
| 4 0 0 | 47.80 | 18 |

Structure:
Unit cell a=7.6120 b=7.6120 c=7.6120 alpha=90.00 beta=90.00 gamma=90.00
Space group Fm-3m (No. 225)
Inequivalent atoms, fractional coordinates:
Nd1 0.0000 0.0000 0.0000 [4 per cell]
Lu1 0.0000 0.0000 0.5000 [4 per cell]
Mg1 0.2500 0.2500 0.2500 [8 per cell]

---

Starting from a DFT-relaxed cell (GGA-PBE, the Materials Project), the powder X-ray diffraction pattern of DyHO2 was calculated for Cu Kα X-rays.
Peak positions follow from Bragg's law for the DFT cell and can differ from measured ones.

Largest 6 diffraction maxima, most intense first, 10 to 90 degrees two-theta:
| index | two_theta | Rel. int. |
| --- | --- | --- |
| 0 1 1 | 24.40 | 100 |
| 1 1 0 | 31.39 | 60 |
| 1 0 1 | 30.20 | 45 |
| 1 1 2 | 45.87 | 40 |
| 1 2 1 | 48.37 | 39 |
| 0 0 2 | 32.58 | 26 |

Structure:
Unit cell a=3.5113 b=4.8766 c=5.4972 alpha=90.00 beta=90.00 gamma=90.00
Space group Pmn2_1 (No. 31)
Inequivalent atoms, fractional coordinates:
Dy1 0.0000 0.2229 0.0000 [2 per cell]
H1 0.0000 0.3066 0.4802 [2 per cell]
O1 0.0000 0.0180 0.6382 [2 per cell]
O2 0.0000 0.4786 0.3744 [2 per cell]

---

Starting from a DFT-relaxed cell (GGA-PBE, the Materials Project), the powder X-ray diffraction pattern of TcH4NO4 was calculated for Cu Kα X-rays.
Peak positions follow from Bragg's law for the DFT cell and can differ from measured ones.

Largest 6 diffraction maxima, most intense first, 10 to 90 degrees two-theta:
| index | two_theta | Rel. int. |
| --- | --- | --- |
| 1 1 2 | 24.69 | 100 |
| 1 0 1 | 15.85 | 96 |
| 1 0 3 | 25.76 | 29 |
| 2 0 4 | 40.90 | 23 |
| 1 2 1 | 32.80 | 22 |
| 2 0 0 | 28.53 | 21 |

Structure:
Unit cell a=6.2580 b=6.2580 c=12.4458 alpha=90.00 beta=90.00 gamma=90.00
Space group I4_1/a (No. 88, origin choice 2)
Inequivalent atoms, fractional coordinates:
Tc1 0.0000 0.2500 0.1250 [4 per cell]
H1 0.0238 0.1183 0.6743 [16 per cell]
N1 0.0000 0.2500 0.6250 [4 per cell]
O1 0.1000 0.4547 0.2055 [16 per cell]

---

Q: What is the formula in the fifth record?
A: DyHO2